Na6Fe2PC4O16: computed powder diffractogram (Cu Kα X-rays), based on the GGA+U geometry in the Materials Project.
Lines closer than 0.1° are merged.

The 10 most intense peaks (15° ≤ 2θ ≤ 90°), by angle:
d/Å  2theta  intensity
4.350  20.4  758
2.777  32.2  1000
2.550  35.2  552
2.439  36.9  179
2.175  41.5  166
2.020  44.9  199
1.700  53.9  118
1.666  55.1  310
1.655  55.5  192
1.395  67.1  135

Crystal structure
abc: 10.202 10.202 10.202
angles: 60.00 60.00 60.00
Positions (direct):
Na: 0.083 0.083 0.667
Na: 0.083 0.667 0.083
Na: 0.083 0.667 0.667
Na: 0.333 0.333 0.917
Na: 0.333 0.917 0.333
Na: 0.333 0.917 0.917
Na: 0.667 0.083 0.083
Na: 0.667 0.083 0.667
Na: 0.667 0.667 0.083
Na: 0.917 0.333 0.333
Na: 0.917 0.333 0.917
Na: 0.917 0.917 0.333
Fe: 0.000 0.500 0.500
Fe: 0.500 0.000 0.500
Fe: 0.500 0.500 0.000
Fe: 0.500 0.500 0.500
P: 0.125 0.125 0.125
P: 0.875 0.875 0.875
C: 0.284 0.284 0.284
C: 0.284 0.284 0.648
C: 0.284 0.648 0.284
C: 0.352 0.716 0.716
C: 0.648 0.284 0.284
C: 0.716 0.352 0.716
C: 0.716 0.716 0.352
C: 0.716 0.716 0.716
O: 0.062 0.062 0.062
O: 0.062 0.062 0.313
O: 0.062 0.313 0.062
O: 0.145 0.307 0.397
O: 0.145 0.397 0.651
O: 0.145 0.651 0.307
O: 0.307 0.145 0.651
O: 0.307 0.397 0.145
O: 0.307 0.651 0.397
O: 0.313 0.062 0.062
O: 0.349 0.603 0.693
O: 0.349 0.693 0.855
O: 0.349 0.855 0.603
O: 0.397 0.145 0.307
O: 0.397 0.307 0.651
O: 0.397 0.651 0.145
O: 0.603 0.349 0.855
O: 0.603 0.693 0.349
O: 0.603 0.855 0.693
O: 0.651 0.145 0.397
O: 0.651 0.307 0.145
O: 0.651 0.397 0.307
O: 0.687 0.938 0.938
O: 0.693 0.349 0.603
O: 0.693 0.603 0.855
O: 0.693 0.855 0.349
O: 0.855 0.349 0.693
O: 0.855 0.603 0.349
O: 0.855 0.693 0.603
O: 0.938 0.687 0.938
O: 0.938 0.938 0.687
O: 0.938 0.938 0.938